Simulated X-ray powder pattern of SbPRh2Br for CuKα, from DFT lattice parameters and positions (PBE).
No peak broadening, texture or thermal motion is included.

Largest 8 diffraction maxima, most intense first, 5° ≤ 2θ ≤ 70°:
d_spacing, I/Imax
2.791, 1000
2.287, 705
4.573, 644
1.762, 624
2.765, 610
5.529, 347
1.396, 284
2.366, 235

Crystal structure
```
SbPRh2Br
1.0
4.5731 0.0000 0.0000
0.0000 4.5731 0.0000
0.0000 0.0000 5.5294
Sb P Rh Br
1 1 2 1
Direct
0.0000 0.0000 0.0000 Sb
0.5000 0.5000 0.0000 P
0.0000 0.5000 0.5000 Rh
0.5000 0.0000 0.5000 Rh
0.0000 0.0000 0.5000 Br
```